[1]
Structure and simulated PXRD pattern of NaTbHgS3 (a DFT-relaxed cell (GGA-PBE, OQMD); Cu Kα (weighted mean of Kα1 and Kα2)).

Principal peaks in the range 5 to 70 degrees two-theta, sorted by position:
index	two_theta	d_spacing	I_rel
2 0 0	12.31	7.192	100
2 0 1	14.67	6.040	21
4 0 1	26.04	3.422	11
1 1 2	28.02	3.185	48
3 1 1	30.04	2.975	38
0 0 4	32.18	2.781	13
3 1 2	33.19	2.699	18
2 0 4	34.58	2.594	17
5 1 1	39.31	2.292	22
0 2 0	44.92	2.018	13

Structure:
a b c (Å): 14.385 4.035 11.124
angles (deg): 90.00 90.00 90.00
Space group Pnma (No. 62)
Asymmetric unit:
Na (0.212, 0.250, 0.196) x4
Tb (0.036, 0.750, 0.853) x4
Hg (0.057, 0.250, 0.600) x4
S (0.065, 0.250, 0.370) x4
S (0.087, 0.750, 0.086) x4
S (0.160, 0.250, 0.781) x4

***

[2]
Structure and simulated PXRD pattern of NaSmHgSe3 (a DFT-relaxed cell (GGA-PBE, OQMD); Cu Kα (weighted mean of Kα1 and Kα2)).

Principal peaks in the range 5 to 70 degrees two-theta, sorted by position:
index	two_theta	d_spacing	I_rel
0 0 2	14.33	6.181	94
1 1 1	23.31	3.816	51
2 1 1	26.31	3.388	45
4 0 1	28.94	3.085	44
1 1 3	31.11	2.875	100
2 1 3	33.47	2.678	47
1 1 4	36.71	2.448	36
5 1 1	42.02	2.150	49
0 2 0	42.78	2.114	42
5 1 3	47.12	1.929	51

Structure:
a b c (Å): 12.743 4.227 12.361
angles (deg): 90.00 90.00 90.00
Space group Pnma (No. 62)
Asymmetric unit:
Na (0.135, 0.250, 0.004) x4
Sm (0.049, 0.250, 0.674) x4
Hg (0.237, 0.250, 0.294) x4
Se (0.057, 0.750, 0.845) x4
Se (0.078, 0.250, 0.427) x4
Se (0.227, 0.750, 0.151) x4

***

[3]
Structure and simulated PXRD pattern of NaTbHg3Se4 (a DFT-relaxed cell (GGA-PBE, OQMD); Cu Kα (weighted mean of Kα1 and Kα2)).

Principal peaks in the range 5 to 70 degrees two-theta, sorted by position:
index	two_theta	d_spacing	I_rel
0 0 1	8.62	10.253	100
0 1 1	14.42	6.141	47
2 0 0	25.23	3.530	19
2 1 -1	26.42	3.373	31
1 0 -4	32.82	2.729	19
2 2 -2	34.54	2.597	22
1 3 -1	37.42	2.404	22
1 3 -2	39.50	2.281	16
2 2 2	42.82	2.112	26
3 2 -2	43.37	2.086	18

Structure:
a b c (Å): 7.519 7.669 10.917
angles (deg): 90.00 110.08 90.00
Space group P2_1/m (No. 11)
Asymmetric unit:
Na (0.157, 0.250, 0.172) x2
Tb (0.246, 0.250, 0.708) x2
Hg (0.272, 0.750, 0.223) x2
Hg (0.284, 0.569, 0.489) x4
Se (0.085, 0.250, 0.898) x2
Se (0.098, 0.250, 0.430) x2
Se (0.493, 0.523, 0.756) x4

***

[4]
Structure and simulated PXRD pattern of NaYHgSe3 (a DFT-relaxed cell (GGA-PBE, OQMD); Cu Kα (weighted mean of Kα1 and Kα2)).

Principal peaks in the range 5 to 70 degrees two-theta, sorted by position:
index	two_theta	d_spacing	I_rel
1 0 1	10.10	8.760	36
2 0 0	12.81	6.913	100
2 0 3	26.92	3.312	16
1 1 2	27.33	3.264	25
3 1 1	29.95	2.984	25
3 1 2	33.00	2.714	76
2 0 4	34.23	2.619	19
2 1 3	34.58	2.594	26
5 1 2	42.34	2.135	45
0 2 0	43.38	2.086	23

Structure:
a b c (Å): 13.826 4.172 11.322
angles (deg): 90.00 90.00 90.00
Space group Pnma (No. 62)
Asymmetric unit:
Na (0.238, 0.250, 0.077) x4
Y (0.019, 0.250, 0.346) x4
Hg (0.009, 0.750, 0.103) x4
Se (0.107, 0.250, 0.571) x4
Se (0.114, 0.750, 0.876) x4
Se (0.150, 0.750, 0.261) x4